(1)
Starting from DFT lattice parameters and positions (PBE+U), the powder diffractogram of Ti3Cu2NiP6O24 was computed for Cu Kα (λ = 1.5418 Å).

Principal peaks in the range 2θ = 10–90°, by angle:
| two_theta | d (Å) | I/Imax |
| --- | --- | --- |
| 20.60 | 4.311 | 87 |
| 24.27 | 3.667 | 100 |
| 25.33 | 3.516 | 21 |
| 33.05 | 2.711 | 75 |
| 36.09 | 2.489 | 37 |
| 47.40 | 1.918 | 33 |
| 49.73 | 1.833 | 27 |
| 56.48 | 1.629 | 24 |

Structure:
```
Ti3Cu2NiP6O24
1.0
4.311 2.489 6.972
-4.311 2.489 6.972
0.000 -4.978 6.972
Ti Cu Ni P O
3 2 1 6 24
direct
0.000 0.000 0.000
0.213 0.213 0.213
0.712 0.712 0.712
0.359 0.359 0.359
0.857 0.857 0.857
0.499 0.499 0.499
0.107 0.811 0.400
0.313 0.604 0.897
0.400 0.107 0.811
0.604 0.897 0.313
0.811 0.400 0.107
0.897 0.313 0.604
0.041 0.862 0.237
0.095 0.300 0.441
0.119 0.770 0.922
0.165 0.978 0.355
0.237 0.041 0.862
0.267 0.620 0.409
0.300 0.441 0.095
0.343 0.548 0.742
0.355 0.165 0.978
0.409 0.267 0.620
0.441 0.095 0.300
0.478 0.664 0.856
0.548 0.742 0.343
0.592 0.940 0.802
0.620 0.409 0.267
0.664 0.856 0.478
0.742 0.343 0.548
0.770 0.922 0.119
0.802 0.592 0.940
0.856 0.478 0.664
0.862 0.237 0.041
0.922 0.119 0.770
0.940 0.802 0.592
0.978 0.355 0.165
```



(2)
Starting from DFT lattice parameters and positions (PBE+U), the powder diffractogram of V3Cu2NiP6O24 was computed for Cu Kα (λ = 1.5418 Å).

Principal peaks in the range 2θ = 10–90°, by angle:
| two_theta | d (Å) | I/Imax |
| --- | --- | --- |
| 20.63 | 4.305 | 100 |
| 24.28 | 3.666 | 100 |
| 25.35 | 3.513 | 21 |
| 33.01 | 2.713 | 75 |
| 36.13 | 2.486 | 39 |
| 47.36 | 1.919 | 35 |
| 49.74 | 1.833 | 28 |
| 56.55 | 1.627 | 26 |

Structure:
```
V3Cu2NiP6O24
1.0
4.306 2.486 6.989
-4.306 2.486 6.989
0.000 -4.972 6.989
V Cu Ni P O
3 2 1 6 24
direct
0.000 0.000 0.000
0.216 0.216 0.216
0.714 0.714 0.714
0.360 0.360 0.360
0.857 0.857 0.857
0.499 0.499 0.499
0.108 0.816 0.398
0.316 0.606 0.898
0.398 0.108 0.816
0.606 0.898 0.316
0.816 0.398 0.108
0.898 0.316 0.606
0.041 0.870 0.232
0.096 0.297 0.442
0.121 0.775 0.928
0.164 0.980 0.360
0.232 0.041 0.870
0.268 0.625 0.404
0.297 0.442 0.096
0.339 0.557 0.741
0.360 0.164 0.980
0.404 0.268 0.625
0.442 0.096 0.297
0.480 0.663 0.862
0.557 0.741 0.339
0.589 0.937 0.804
0.625 0.404 0.268
0.663 0.862 0.480
0.741 0.339 0.557
0.775 0.928 0.121
0.804 0.589 0.937
0.862 0.480 0.663
0.870 0.232 0.041
0.928 0.121 0.775
0.937 0.804 0.589
0.980 0.360 0.164
```



(3)
Starting from DFT lattice parameters and positions (PBE+U), the powder diffractogram of Cu2NiSnO4 was computed for Cu Kα (λ = 1.5418 Å).

Principal peaks in the range 2θ = 10–90°, by angle:
| two_theta | d (Å) | I/Imax |
| --- | --- | --- |
| 30.81 | 2.902 | 44 |
| 34.07 | 2.631 | 100 |
| 34.70 | 2.585 | 47 |
| 38.68 | 2.328 | 43 |
| 39.07 | 2.305 | 21 |
| 53.58 | 1.710 | 29 |
| 58.65 | 1.574 | 25 |
| 63.21 | 1.471 | 19 |

Structure:
```
Cu2NiSnO4
1.0
5.421 0.000 0.000
0.000 3.204 0.000
-1.831 0.000 5.804
Cu Ni Sn O
2 1 1 4
direct
0.000 0.000 0.000
0.500 0.500 0.000
0.000 0.500 0.500
0.500 0.000 0.500
0.111 0.000 0.321
0.395 0.500 0.682
0.605 0.500 0.318
0.889 0.000 0.679
```



(4)
Starting from DFT lattice parameters and positions (PBE+U), the powder diffractogram of Sr4Cu3NiO8 was computed for Cu Kα (λ = 1.5418 Å).

Principal peaks in the range 2θ = 10–90°, by angle:
| two_theta | d (Å) | I/Imax |
| --- | --- | --- |
| 25.07 | 3.553 | 23 |
| 29.51 | 3.027 | 66 |
| 31.56 | 2.835 | 61 |
| 33.98 | 2.639 | 100 |
| 46.14 | 1.967 | 50 |
| 50.10 | 1.821 | 22 |
| 52.01 | 1.758 | 28 |
| 60.44 | 1.532 | 26 |

Structure:
```
Sr4Cu3NiO8
1.0
7.876 0.000 0.000
0.000 1.821 8.170
0.000 -1.821 8.170
Sr Cu Ni O
4 3 1 8
direct
0.000 0.000 0.000
0.248 0.664 0.664
0.500 0.000 0.000
0.752 0.664 0.664
0.249 0.394 0.394
0.500 0.270 0.270
0.751 0.394 0.394
0.000 0.271 0.271
0.000 0.154 0.154
0.000 0.388 0.388
0.248 0.278 0.278
0.250 0.512 0.512
0.500 0.153 0.153
0.500 0.388 0.388
0.750 0.512 0.512
0.752 0.278 0.278
```



(5)
Starting from DFT lattice parameters and positions (PBE+U), the powder diffractogram of Sr2YCu2NiO7 was computed for Cu Kα (λ = 1.5418 Å).

Principal peaks in the range 2θ = 10–90°, by angle:
| two_theta | d (Å) | I/Imax |
| --- | --- | --- |
| 32.45 | 2.759 | 29 |
| 32.82 | 2.729 | 100 |
| 33.02 | 2.713 | 31 |
| 38.93 | 2.313 | 26 |
| 46.97 | 1.934 | 33 |
| 47.21 | 1.925 | 8 |
| 58.12 | 1.587 | 17 |
| 58.84 | 1.570 | 26 |

Structure:
```
Sr2YCu2NiO7
1.0
-11.551 2.759 2.713
11.551 -2.759 2.713
11.551 2.759 -2.713
Sr Y Cu Ni O
4 2 4 2 14
direct
0.011 0.153 0.164
0.011 0.347 0.358
0.989 0.653 0.642
0.989 0.847 0.836
0.002 0.002 0.000
0.002 0.502 0.500
0.499 0.573 0.071
0.499 0.928 0.426
0.502 0.073 0.574
0.502 0.428 0.929
0.470 0.790 0.180
0.610 0.290 0.820
0.000 0.311 0.818
0.000 0.682 0.189
0.008 0.642 0.866
0.437 0.154 0.634
0.437 0.303 0.783
0.493 0.182 0.182
0.493 0.811 0.811
0.511 0.317 0.318
0.511 0.693 0.695
0.520 0.654 0.217
0.520 0.803 0.366
0.777 0.142 0.134
0.999 0.193 0.682
0.999 0.817 0.305
```



(6)
Starting from DFT lattice parameters and positions (PBE+U), the powder diffractogram of TiCu2NiO4 was computed for Cu Kα (λ = 1.5418 Å).

Principal peaks in the range 2θ = 10–90°, by angle:
| two_theta | d (Å) | I/Imax |
| --- | --- | --- |
| 31.06 | 2.879 | 30 |
| 35.86 | 2.504 | 100 |
| 40.30 | 2.238 | 38 |
| 55.15 | 1.665 | 30 |
| 61.37 | 1.511 | 25 |
| 64.65 | 1.442 | 20 |
| 70.38 | 1.338 | 16 |
| 73.16 | 1.294 | 10 |

Structure:
```
TiCu2NiO4
1.0
1.511 0.872 11.517
-1.511 0.872 11.517
0.000 -1.744 11.517
Ti Cu Ni O
1 2 1 4
direct
0.000 0.000 0.000
0.248 0.248 0.248
0.752 0.752 0.752
0.500 0.500 0.500
0.197 0.197 0.197
0.303 0.303 0.303
0.697 0.697 0.697
0.803 0.803 0.803
```



(7)
Starting from DFT lattice parameters and positions (PBE+U), the powder diffractogram of TiCu2NiO4 was computed for Cu Kα (λ = 1.5418 Å).

Principal peaks in the range 2θ = 10–90°, by angle:
| two_theta | d (Å) | I/Imax |
| --- | --- | --- |
| 33.89 | 2.645 | 35 |
| 36.46 | 2.464 | 53 |
| 36.71 | 2.448 | 26 |
| 41.58 | 2.172 | 100 |
| 41.91 | 2.156 | 49 |
| 58.66 | 1.574 | 45 |
| 61.79 | 1.501 | 14 |
| 62.37 | 1.489 | 26 |

Structure:
```
TiCu2NiO4
1.0
5.143 0.000 0.000
0.000 3.003 0.000
-1.703 0.000 5.290
Ti Cu Ni O
1 2 1 4
direct
0.000 0.000 0.000
0.000 0.500 0.500
0.500 0.000 0.500
0.500 0.500 0.000
0.224 0.500 0.204
0.249 0.000 0.788
0.751 0.000 0.212
0.776 0.500 0.796
```



(8)
Starting from DFT lattice parameters and positions (PBE+U), the powder diffractogram of V4CuNiO12 was computed for Cu Kα (λ = 1.5418 Å).

Principal peaks in the range 2θ = 10–90°, by angle:
| two_theta | d (Å) | I/Imax |
| --- | --- | --- |
| 13.73 | 6.450 | 31 |
| 18.45 | 4.809 | 41 |
| 19.93 | 4.455 | 51 |
| 23.21 | 3.833 | 30 |
| 28.64 | 3.117 | 100 |
| 30.39 | 2.941 | 68 |
| 31.82 | 2.812 | 58 |
| 35.06 | 2.560 | 28 |

Structure:
```
V4CuNiO12
1.0
4.945 -4.455 0.000
4.945 4.455 0.000
-3.886 0.000 11.248
V Cu Ni O
8 2 2 24
direct
0.199 0.198 0.492
0.199 0.199 0.992
0.386 0.023 0.246
0.386 0.023 0.746
0.801 0.801 0.008
0.802 0.801 0.508
0.977 0.614 0.254
0.977 0.614 0.754
0.505 0.494 0.249
0.506 0.495 0.751
0.670 0.330 0.000
0.670 0.330 0.500
0.214 0.492 0.258
0.214 0.492 0.759
0.216 0.054 0.845
0.217 0.053 0.345
0.244 0.038 0.100
0.245 0.038 0.600
0.384 0.375 0.539
0.384 0.376 0.039
0.508 0.786 0.241
0.508 0.786 0.742
0.557 0.224 0.303
0.557 0.224 0.803
0.624 0.616 0.961
0.625 0.616 0.461
0.678 0.035 0.014
0.678 0.035 0.514
0.776 0.443 0.197
0.776 0.443 0.697
0.946 0.784 0.155
0.947 0.783 0.655
0.962 0.755 0.400
0.962 0.756 0.900
0.965 0.322 0.486
0.965 0.322 0.986
```



(9)
Starting from DFT lattice parameters and positions (PBE+U), the powder diffractogram of YCu3Ni4O12 was computed for Cu Kα (λ = 1.5418 Å).

Principal peaks in the range 2θ = 10–90°, by angle:
| two_theta | d (Å) | I/Imax |
| --- | --- | --- |
| 34.89 | 2.572 | 100 |
| 39.16 | 2.300 | 5 |
| 43.08 | 2.100 | 2 |
| 46.73 | 1.944 | 4 |
| 50.17 | 1.818 | 24 |
| 62.56 | 1.485 | 47 |
| 73.67 | 1.286 | 12 |
| 84.18 | 1.150 | 16 |

Structure:
```
YCu3Ni4O12
1.0
-3.637 3.637 3.637
3.637 -3.637 3.637
3.637 3.637 -3.637
Y Cu Ni O
1 3 4 12
direct
0.000 0.000 0.000
0.000 0.500 0.500
0.500 0.000 0.500
0.500 0.500 0.000
0.000 0.000 0.500
0.000 0.500 0.000
0.500 0.000 0.000
0.500 0.500 0.500
0.138 0.831 0.306
0.169 0.306 0.475
0.169 0.694 0.862
0.306 0.138 0.831
0.306 0.475 0.169
0.475 0.169 0.306
0.525 0.831 0.694
0.694 0.525 0.831
0.694 0.862 0.169
0.831 0.306 0.138
0.831 0.694 0.525
0.862 0.169 0.694
```